(1)
Calculated XRD peak list
Compound: Nd4Dy3ThS8
Radiation: Cu Kα (λ = 1.5418 Å)
Structure: DFT lattice parameters and positions (GGA-PBE)
Neutral-atom scattering factors, no anomalous dispersion.

Top 8 peaks for 5 to 70 degrees two-theta, in order of rising 2θ:
| two_theta | d (Å) | intensity |
| --- | --- | --- |
| 27.2 | 3.283 | 21 |
| 27.3 | 3.268 | 61 |
| 31.6 | 2.833 | 100 |
| 45.2 | 2.007 | 36 |
| 45.3 | 2.000 | 36 |
| 53.7 | 1.707 | 31 |
| 56.3 | 1.634 | 19 |
| 65.9 | 1.417 | 12 |

Cell and atoms:
Lattice parameters (Å, degrees): 8.028 8.028 8.028 59.77 59.77 59.77
Fractional coordinates of all 16 atoms:
Nd (0.000, 0.000, 0.000)
Nd (0.000, 0.500, 0.500)
Nd (0.500, 0.000, 0.500)
Nd (0.500, 0.500, 0.000)
Dy (0.000, 0.000, 0.500)
Dy (0.000, 0.500, 0.000)
Dy (0.500, 0.000, 0.000)
Th (0.500, 0.500, 0.500)
S (0.240, 0.749, 0.749)
S (0.245, 0.245, 0.245)
S (0.251, 0.251, 0.760)
S (0.251, 0.760, 0.251)
S (0.749, 0.240, 0.749)
S (0.749, 0.749, 0.240)
S (0.755, 0.755, 0.755)
S (0.760, 0.251, 0.251)

(2)
Calculated XRD peak list
Compound: Nd2DyYS4
Radiation: Cu Kα (λ = 1.5418 Å)
Structure: DFT lattice parameters and positions (GGA-PBE)
Neutral-atom scattering factors, no anomalous dispersion.

Top 8 peaks for 5 to 70 degrees two-theta, in order of rising 2θ:
| two_theta | d (Å) | intensity |
| --- | --- | --- |
| 26.8 | 3.325 | 19 |
| 27.4 | 3.250 | 17 |
| 27.6 | 3.230 | 34 |
| 31.7 | 2.821 | 100 |
| 44.8 | 2.021 | 12 |
| 45.0 | 2.013 | 24 |
| 45.9 | 1.979 | 23 |
| 57.0 | 1.615 | 12 |

Cell and atoms:
Lattice parameters (Å, degrees): 6.866 3.937 7.026 90.00 108.81 90.00
Fractional coordinates of all 8 atoms:
Nd (0.000, 0.000, 0.000)
Nd (0.500, 0.500, 0.000)
Dy (0.000, 0.500, 0.500)
Y (0.500, 0.000, 0.500)
S (0.244, 0.000, 0.734)
S (0.255, 0.500, 0.265)
S (0.745, 0.500, 0.735)
S (0.756, 0.000, 0.266)

(3)
Calculated XRD peak list
Compound: NdDy4Sb2
Radiation: Cu Kα (λ = 1.5418 Å)
Structure: DFT lattice parameters and positions (GGA-PBE)
Neutral-atom scattering factors, no anomalous dispersion.

Top 8 peaks for 5 to 70 degrees two-theta, in order of rising 2θ:
| two_theta | d (Å) | intensity |
| --- | --- | --- |
| 10.7 | 8.241 | 36 |
| 26.2 | 3.400 | 64 |
| 32.0 | 2.796 | 68 |
| 32.4 | 2.766 | 42 |
| 34.0 | 2.639 | 100 |
| 47.4 | 1.919 | 45 |
| 47.8 | 1.903 | 45 |
| 48.8 | 1.866 | 36 |

Cell and atoms:
Lattice parameters (Å, degrees): 5.279 5.279 16.482 90.00 90.00 90.00
Fractional coordinates of all 14 atoms:
Nd (0.000, 0.000, 0.000)
Nd (0.500, 0.500, 0.500)
Dy (0.000, 0.000, 0.184)
Dy (0.000, 0.000, 0.816)
Dy (0.000, 0.500, 0.000)
Dy (0.000, 0.500, 0.500)
Dy (0.500, 0.000, 0.000)
Dy (0.500, 0.000, 0.500)
Dy (0.500, 0.500, 0.316)
Dy (0.500, 0.500, 0.684)
Sb (0.000, 0.000, 0.367)
Sb (0.000, 0.000, 0.633)
Sb (0.500, 0.500, 0.133)
Sb (0.500, 0.500, 0.867)

(4)
Calculated XRD peak list
Compound: Nd2Dy5Sb4
Radiation: Cu Kα (λ = 1.5418 Å)
Structure: DFT lattice parameters and positions (GGA-PBE)
Neutral-atom scattering factors, no anomalous dispersion.

Top 8 peaks for 5 to 70 degrees two-theta, in order of rising 2θ:
| two_theta | d (Å) | intensity |
| --- | --- | --- |
| 26.1 | 3.415 | 52 |
| 28.0 | 3.182 | 29 |
| 28.3 | 3.151 | 30 |
| 30.2 | 2.962 | 100 |
| 31.6 | 2.834 | 48 |
| 32.0 | 2.799 | 32 |
| 36.4 | 2.467 | 83 |
| 42.0 | 2.151 | 62 |

Cell and atoms:
Lattice parameters (Å, degrees): 12.520 12.520 8.038 93.23 93.23 15.83
Fractional coordinates of all 11 atoms:
Nd (0.054, 0.054, 0.156)
Nd (0.946, 0.946, 0.844)
Dy (0.156, 0.156, 0.479)
Dy (0.178, 0.178, 0.989)
Dy (0.500, 0.500, 0.500)
Dy (0.822, 0.822, 0.011)
Dy (0.844, 0.844, 0.521)
Sb (0.072, 0.072, 0.763)
Sb (0.265, 0.265, 0.278)
Sb (0.735, 0.735, 0.722)
Sb (0.928, 0.928, 0.237)

(5)
Calculated XRD peak list
Compound: Nd2Dy2Sb3
Radiation: Cu Kα (λ = 1.5418 Å)
Structure: DFT lattice parameters and positions (GGA-PBE)
Neutral-atom scattering factors, no anomalous dispersion.

Top 8 peaks for 5 to 70 degrees two-theta, in order of rising 2θ:
| two_theta | d (Å) | intensity |
| --- | --- | --- |
| 30.2 | 2.958 | 100 |
| 35.9 | 2.500 | 68 |
| 43.3 | 2.091 | 10 |
| 47.6 | 1.909 | 18 |
| 49.7 | 1.834 | 24 |
| 61.1 | 1.517 | 25 |
| 62.8 | 1.479 | 12 |
| 64.6 | 1.443 | 15 |

Cell and atoms:
Lattice parameters (Å, degrees): 8.099 8.099 8.099 109.47 109.47 109.47
Fractional coordinates of all 14 atoms:
Nd (0.000, 0.148, 0.500)
Nd (0.148, 0.500, 0.000)
Nd (0.352, 0.352, 0.352)
Nd (0.500, 0.000, 0.148)
Dy (0.000, 0.639, 0.500)
Dy (0.500, 0.000, 0.639)
Dy (0.639, 0.500, 0.000)
Dy (0.861, 0.861, 0.861)
Sb (0.118, 0.868, 0.250)
Sb (0.250, 0.118, 0.868)
Sb (0.382, 0.632, 0.750)
Sb (0.632, 0.750, 0.382)
Sb (0.750, 0.382, 0.632)
Sb (0.868, 0.250, 0.118)

(6)
Calculated XRD peak list
Compound: Nd2DyScSb4
Radiation: Cu Kα (λ = 1.5418 Å)
Structure: DFT lattice parameters and positions (GGA-PBE)
Neutral-atom scattering factors, no anomalous dispersion.

Top 8 peaks for 5 to 70 degrees two-theta, in order of rising 2θ:
| two_theta | d (Å) | intensity |
| --- | --- | --- |
| 28.7 | 3.115 | 100 |
| 40.9 | 2.205 | 38 |
| 41.0 | 2.200 | 37 |
| 50.7 | 1.800 | 20 |
| 50.9 | 1.794 | 6 |
| 59.3 | 1.557 | 12 |
| 67.1 | 1.394 | 17 |
| 67.3 | 1.392 | 16 |

Cell and atoms:
Lattice parameters (Å, degrees): 7.614 4.412 7.635 90.00 109.54 90.00
Fractional coordinates of all 8 atoms:
Nd (0.000, 0.000, 0.000)
Nd (0.000, 0.500, 0.500)
Dy (0.500, 0.000, 0.500)
Sc (0.500, 0.500, 0.000)
Sb (0.264, 0.500, 0.248)
Sb (0.269, 0.000, 0.763)
Sb (0.731, 0.000, 0.237)
Sb (0.736, 0.500, 0.752)

(7)
Calculated XRD peak list
Compound: Nd4Dy10Sc
Radiation: Cu Kα (λ = 1.5418 Å)
Structure: DFT lattice parameters and positions (GGA-PBE)
Neutral-atom scattering factors, no anomalous dispersion.

Top 8 peaks for 5 to 70 degrees two-theta, in order of rising 2θ:
| two_theta | d (Å) | intensity |
| --- | --- | --- |
| 24.8 | 3.591 | 39 |
| 27.9 | 3.195 | 69 |
| 31.5 | 2.839 | 100 |
| 32.1 | 2.784 | 90 |
| 33.5 | 2.676 | 32 |
| 34.1 | 2.631 | 35 |
| 41.0 | 2.200 | 47 |
| 67.3 | 1.391 | 40 |

Cell and atoms:
Lattice parameters (Å, degrees): 8.911 8.911 8.911 100.84 100.84 128.60
Fractional coordinates of all 15 atoms:
Nd (0.230, 0.230, 0.459)
Nd (0.230, 0.770, 0.000)
Nd (0.770, 0.230, 0.000)
Nd (0.770, 0.770, 0.541)
Dy (0.080, 0.287, 0.793)
Dy (0.250, 0.750, 0.500)
Dy (0.287, 0.080, 0.793)
Dy (0.287, 0.495, 0.207)
Dy (0.495, 0.287, 0.207)
Dy (0.505, 0.713, 0.793)
Dy (0.713, 0.505, 0.793)
Dy (0.713, 0.920, 0.207)
Dy (0.750, 0.250, 0.500)
Dy (0.920, 0.713, 0.207)
Sc (0.000, 0.000, 0.000)

(8)
Calculated XRD peak list
Compound: Nd4DySc5
Radiation: Cu Kα (λ = 1.5418 Å)
Structure: DFT lattice parameters and positions (GGA-PBE)
Neutral-atom scattering factors, no anomalous dispersion.

Top 8 peaks for 5 to 70 degrees two-theta, in order of rising 2θ:
| two_theta | d (Å) | intensity |
| --- | --- | --- |
| 19.4 | 4.565 | 23 |
| 24.9 | 3.572 | 26 |
| 31.8 | 2.813 | 100 |
| 35.5 | 2.526 | 37 |
| 39.5 | 2.282 | 14 |
| 40.8 | 2.210 | 15 |
| 54.2 | 1.693 | 21 |
| 61.5 | 1.508 | 29 |

Cell and atoms:
Lattice parameters (Å, degrees): 3.572 3.572 22.823 90.00 90.00 90.00
Fractional coordinates of all 10 atoms:
Nd (0.000, 0.000, 0.101)
Nd (0.000, 0.000, 0.302)
Nd (0.000, 0.000, 0.698)
Nd (0.000, 0.000, 0.899)
Dy (0.000, 0.000, 0.500)
Sc (0.500, 0.500, 0.000)
Sc (0.500, 0.500, 0.201)
Sc (0.500, 0.500, 0.403)
Sc (0.500, 0.500, 0.597)
Sc (0.500, 0.500, 0.799)

(9)
Calculated XRD peak list
Compound: Nd5DySc3
Radiation: Cu Kα (λ = 1.5418 Å)
Structure: DFT lattice parameters and positions (GGA-PBE)
Neutral-atom scattering factors, no anomalous dispersion.

Top 8 peaks for 5 to 70 degrees two-theta, in order of rising 2θ:
| two_theta | d (Å) | intensity |
| --- | --- | --- |
| 22.5 | 3.945 | 100 |
| 27.3 | 3.262 | 21 |
| 31.2 | 2.867 | 43 |
| 31.8 | 2.813 | 26 |
| 32.0 | 2.800 | 27 |
| 33.0 | 2.718 | 32 |
| 39.0 | 2.311 | 18 |
| 46.0 | 1.972 | 25 |

Cell and atoms:
Lattice parameters (Å, degrees): 8.078 8.078 10.258 102.01 102.01 90.44
Fractional coordinates of all 18 atoms:
Nd (0.213, 0.728, 0.655)
Nd (0.246, 0.754, 0.000)
Nd (0.251, 0.251, 0.085)
Nd (0.260, 0.260, 0.420)
Nd (0.272, 0.787, 0.345)
Nd (0.728, 0.213, 0.655)
Nd (0.740, 0.740, 0.580)
Nd (0.749, 0.749, 0.915)
Nd (0.754, 0.246, 0.000)
Nd (0.787, 0.272, 0.345)
Dy (0.247, 0.247, 0.748)
Dy (0.753, 0.753, 0.252)
Sc (0.000, 0.000, 0.500)
Sc (0.001, 0.001, 0.166)
Sc (0.499, 0.499, 0.327)
Sc (0.500, 0.500, 0.000)
Sc (0.501, 0.501, 0.673)
Sc (0.999, 0.999, 0.834)

(10)
Calculated XRD peak list
Compound: Nd5Dy12Sc2
Radiation: Cu Kα (λ = 1.5418 Å)
Structure: DFT lattice parameters and positions (GGA-PBE)
Neutral-atom scattering factors, no anomalous dispersion.

Top 8 peaks for 5 to 70 degrees two-theta, in order of rising 2θ:
| two_theta | d (Å) | intensity |
| --- | --- | --- |
| 28.5 | 3.129 | 26 |
| 29.3 | 3.048 | 34 |
| 29.9 | 2.987 | 64 |
| 31.3 | 2.858 | 100 |
| 31.5 | 2.836 | 43 |
| 32.4 | 2.764 | 42 |
| 33.6 | 2.671 | 25 |
| 50.5 | 1.807 | 31 |

Cell and atoms:
Lattice parameters (Å, degrees): 9.998 9.998 9.935 111.39 111.39 42.40
Fractional coordinates of all 19 atoms:
Nd (0.000, 0.000, 0.000)
Nd (0.186, 0.186, 0.689)
Nd (0.320, 0.320, 0.296)
Nd (0.680, 0.680, 0.704)
Nd (0.814, 0.814, 0.311)
Dy (0.014, 0.014, 0.714)
Dy (0.085, 0.591, 0.995)
Dy (0.091, 0.594, 0.639)
Dy (0.406, 0.909, 0.361)
Dy (0.409, 0.915, 0.005)
Dy (0.497, 0.497, 0.186)
Dy (0.503, 0.503, 0.814)
Dy (0.591, 0.085, 0.995)
Dy (0.594, 0.091, 0.639)
Dy (0.909, 0.406, 0.361)
Dy (0.915, 0.409, 0.005)
Dy (0.986, 0.986, 0.286)
Sc (0.302, 0.698, 0.500)
Sc (0.698, 0.302, 0.500)

(11)
Calculated XRD peak list
Compound: Nd8Dy4Sc
Radiation: Cu Kα (λ = 1.5418 Å)
Structure: DFT lattice parameters and positions (GGA-PBE)
Neutral-atom scattering factors, no anomalous dispersion.

Top 8 peaks for 5 to 70 degrees two-theta, in order of rising 2θ:
| two_theta | d (Å) | intensity |
| --- | --- | --- |
| 19.5 | 4.548 | 34 |
| 32.1 | 2.791 | 100 |
| 32.5 | 2.755 | 95 |
| 38.0 | 2.367 | 16 |
| 46.3 | 1.961 | 35 |
| 57.2 | 1.611 | 19 |
| 57.4 | 1.604 | 37 |
| 58.3 | 1.584 | 17 |

Cell and atoms:
Lattice parameters (Å, degrees): 7.844 7.844 7.844 90.74 90.74 90.74
Fractional coordinates of all 13 atoms:
Nd (0.241, 0.241, 0.750)
Nd (0.241, 0.750, 0.241)
Nd (0.242, 0.242, 0.242)
Nd (0.250, 0.759, 0.759)
Nd (0.750, 0.241, 0.241)
Nd (0.758, 0.758, 0.758)
Nd (0.759, 0.250, 0.759)
Nd (0.759, 0.759, 0.250)
Dy (0.000, 0.000, 0.000)
Dy (0.000, 0.500, 0.500)
Dy (0.500, 0.000, 0.500)
Dy (0.500, 0.500, 0.000)
Sc (0.500, 0.500, 0.500)

(12)
Calculated XRD peak list
Compound: Nd6DySc
Radiation: Cu Kα (λ = 1.5418 Å)
Structure: DFT lattice parameters and positions (GGA-PBE)
Neutral-atom scattering factors, no anomalous dispersion.

Top 8 peaks for 5 to 70 degrees two-theta, in order of rising 2θ:
| two_theta | d (Å) | intensity |
| --- | --- | --- |
| 8.7 | 10.212 | 3 |
| 19.4 | 4.566 | 3 |
| 26.2 | 3.403 | 3 |
| 30.3 | 2.947 | 100 |
| 35.2 | 2.552 | 51 |
| 50.6 | 1.805 | 36 |
| 60.1 | 1.539 | 42 |
| 63.1 | 1.474 | 12 |

Cell and atoms:
Lattice parameters (Å, degrees): 5.104 5.104 10.212 90.00 90.00 90.00
Fractional coordinates of all 8 atoms:
Nd (0.000, 0.000, 0.000)
Nd (0.000, 0.000, 0.500)
Nd (0.000, 0.500, 0.245)
Nd (0.000, 0.500, 0.755)
Nd (0.500, 0.000, 0.245)
Nd (0.500, 0.000, 0.755)
Dy (0.500, 0.500, 0.500)
Sc (0.500, 0.500, 0.000)

(13)
Calculated XRD peak list
Compound: NdDy8Sc3
Radiation: Cu Kα (λ = 1.5418 Å)
Structure: DFT lattice parameters and positions (GGA-PBE)
Neutral-atom scattering factors, no anomalous dispersion.

Top 8 peaks for 5 to 70 degrees two-theta, in order of rising 2θ:
| two_theta | d (Å) | intensity |
| --- | --- | --- |
| 31.5 | 2.839 | 94 |
| 32.4 | 2.763 | 100 |
| 33.0 | 2.717 | 50 |
| 33.3 | 2.687 | 21 |
| 33.4 | 2.683 | 20 |
| 37.4 | 2.407 | 26 |
| 47.6 | 1.911 | 22 |
| 63.6 | 1.463 | 21 |

Cell and atoms:
Lattice parameters (Å, degrees): 6.440 8.235 8.248 102.25 109.63 109.73
Fractional coordinates of all 12 atoms:
Nd (0.000, 0.000, 0.000)
Dy (0.004, 0.670, 0.664)
Dy (0.006, 0.087, 0.584)
Dy (0.009, 0.417, 0.929)
Dy (0.499, 0.637, 0.369)
Dy (0.504, 0.965, 0.704)
Dy (0.506, 0.230, 0.442)
Dy (0.506, 0.301, 0.034)
Dy (0.996, 0.739, 0.256)
Sc (0.003, 0.343, 0.330)
Sc (0.491, 0.562, 0.770)
Sc (0.508, 0.896, 0.105)